The following is a theoretical powder diffractogram of Tb8GeTe3P3. It was derived from the GGA-PBE geometry in Alexandria, using CuKα.
Neutral-atom scattering factors, no anomalous dispersion.

Peak list (6 most intense, 2θ = 5–70°, sorted by position)
26.33°, d 3.385, intensity 23, (2 0 2)
30.22°, d 2.957, intensity 100, (0 2 4)
32.87°, d 2.725, intensity 10, (2 0 5)
42.67°, d 2.119, intensity 33, (2 0 8)
43.86°, d 2.064, intensity 38, (2 2 0)
54.19°, d 1.693, intensity 19, (4 0 4)

Structural model:
a b c (Å): 8.2572 8.2572 21.0479
angles (deg): 90.00 90.00 120.00
Space group R-3m (No. 166, hexagonal axes)
One atom of each set of equivalent atoms:
Tb 0.0000 0.0000 0.2367 [6 per cell]
Tb 0.0074 0.5037 0.7603 [18 per cell]
Ge 0.0000 0.0000 0.5000 [3 per cell]
Te 0.0000 0.5000 0.0000 [9 per cell]
P 0.0000 0.5000 0.5000 [9 per cell]


The following is a theoretical powder diffractogram of LiMn2Pd8. It was derived from the GGA-PBE geometry in Alexandria, using CuKα.
Neutral-atom scattering factors, no anomalous dispersion.

Peak list (6 most intense, 2θ = 5–70°, sorted by position)
31.90°, d 2.805, intensity 19, (1 0 3)
38.75°, d 2.324, intensity 18, (0 3 1)
40.45°, d 2.230, intensity 24, (1 1 4)
40.96°, d 2.204, intensity 100, (1 2 3)
43.31°, d 2.089, intensity 31, (2 0 0)
48.08°, d 1.892, intensity 13, (0 0 6)

Structural model:
a b c (Å): 4.1779 7.1230 11.3546
angles (deg): 90.00 90.00 90.00
Space group Immm (No. 71)
One atom of each set of equivalent atoms:
Li 0.0000 0.0000 0.0000 [2 per cell]
Mn 0.0000 0.0000 0.2970 [4 per cell]
Pd 0.0000 0.1882 0.5000 [4 per cell]
Pd 0.0000 0.2850 0.1555 [8 per cell]
Pd 0.0000 0.5000 0.3597 [4 per cell]


The following is a theoretical powder diffractogram of Tb5Ge2O12. It was derived from the GGA-PBE geometry in Alexandria, using CuKα.
Neutral-atom scattering factors, no anomalous dispersion.

Peak list (6 most intense, 2θ = 5–70°, sorted by position)
27.37°, d 3.259, intensity 95, (3 1 0)
28.86°, d 3.093, intensity 100, (1 1 -2)
32.68°, d 2.740, intensity 23, (3 1 -2)
33.45°, d 2.679, intensity 61, (2 0 2)
46.11°, d 1.969, intensity 51, (6 0 0)
56.15°, d 1.638, intensity 23, (6 2 -2)

Structural model:
a b c (Å): 12.3655 5.8049 7.3108
angles (deg): 90.00 107.19 90.00
Space group C2/m (No. 12)
One atom of each set of equivalent atoms:
Tb 0.0000 0.0000 0.0000 [2 per cell]
Tb 0.1942 0.5000 0.3362 [4 per cell]
Tb 0.1944 0.5000 0.8573 [4 per cell]
Ge 0.0000 0.2450 0.5000 [4 per cell]
O 0.9997 0.0000 0.3216 [4 per cell]
O 0.0006 0.5000 0.3210 [4 per cell]
O 0.1534 0.2494 0.0759 [8 per cell]
O 0.1595 0.2599 0.5802 [8 per cell]


The following is a theoretical powder diffractogram of Pm5Pr4Al. It was derived from the GGA-PBE geometry in Alexandria, using CuKα.
Neutral-atom scattering factors, no anomalous dispersion.

Peak list (6 most intense, 2θ = 5–70°, sorted by position)
28.98°, d 3.081, intensity 100, (3 0 1)
30.24°, d 2.955, intensity 18, (0 0 2)
35.15°, d 2.553, intensity 34, (3 3 0)
47.04°, d 1.932, intensity 17, (3 3 2)
52.95°, d 1.729, intensity 14, (3 0 3)
59.33°, d 1.558, intensity 18, (6 3 1)

Structural model:
a b c (Å): 10.8324 10.8324 5.9102
angles (deg): 90.00 90.00 90.00
Space group I4mm (No. 107)
One atom of each set of equivalent atoms:
Pm 0.0000 0.0000 0.0000 [2 per cell]
Pm 0.1827 0.1827 0.6864 [8 per cell]
Pr 0.0000 0.3101 0.1942 [8 per cell]
Al 0.0000 0.0000 0.4798 [2 per cell]


The following is a theoretical powder diffractogram of CdI3N2. It was derived from the GGA-PBE geometry in Alexandria, using CuKα.
Neutral-atom scattering factors, no anomalous dispersion.

Peak list (6 most intense, 2θ = 5–70°, sorted by position)
10.62°, d 8.328, intensity 71, (0 0 2)
18.75°, d 4.732, intensity 69, (0 1 -2)
23.13°, d 3.845, intensity 77, (1 0 -2)
26.45°, d 3.370, intensity 62, (1 -1 0)
27.71°, d 3.219, intensity 100, (0 1 4)
32.26°, d 2.775, intensity 68, (0 0 6)

Structural model:
a b c (Å): 4.1384 5.5103 16.7727
angles (deg): 93.54 95.59 92.34
Space group P-1 (No. 2)
One atom of each set of equivalent atoms:
Cd 0.1024 0.3556 0.2308 [2 per cell]
I 0.0628 0.6299 0.0780 [2 per cell]
I 0.1408 0.5926 0.5771 [2 per cell]
I 0.4224 0.1088 0.7136 [2 per cell]
N 0.1509 0.7800 0.2336 [2 per cell]
N 0.3896 0.7613 0.7374 [2 per cell]


The following is a theoretical powder diffractogram of SrYHo. It was derived from the GGA-PBE geometry in Alexandria, using CuKα.
Neutral-atom scattering factors, no anomalous dispersion.

Peak list (6 most intense, 2θ = 5–70°, sorted by position)
11.02°, d 8.027, intensity 18, (0 0 2)
29.19°, d 3.060, intensity 100, (1 0 3)
33.49°, d 2.676, intensity 15, (0 0 6)
34.00°, d 2.637, intensity 35, (1 1 0)
48.47°, d 1.878, intensity 21, (1 1 6)
57.92°, d 1.592, intensity 28, (2 1 3)

Structural model:
a b c (Å): 3.7293 3.7293 16.0547
angles (deg): 90.00 90.00 90.00
Space group I4mm (No. 107)
One atom of each set of equivalent atoms:
Sr 0.0000 0.0000 0.0000 [2 per cell]
Y 0.0000 0.0000 0.6817 [2 per cell]
Ho 0.0000 0.0000 0.3206 [2 per cell]


The following is a theoretical powder diffractogram of Sm6Te3As2Cl. It was derived from the GGA-PBE geometry in Alexandria, using CuKα.
Neutral-atom scattering factors, no anomalous dispersion.

Peak list (6 most intense, 2θ = 5–70°, sorted by position)
29.29°, d 3.049, intensity 100, (1 1 -2)
41.56°, d 2.173, intensity 34, (7 1 -2)
42.25°, d 2.139, intensity 38, (0 2 0)
52.24°, d 1.751, intensity 19, (6 2 0)
68.37°, d 1.372, intensity 13, (8 2 -4)
69.38°, d 1.355, intensity 11, (1 3 -2)

Structural model:
a b c (Å): 18.9103 4.2764 8.6919
angles (deg): 90.00 104.56 90.00
Space group C2/m (No. 12)
One atom of each set of equivalent atoms:
Sm 0.0101 0.0000 0.2409 [4 per cell]
Sm 0.1658 0.5000 0.1077 [4 per cell]
Sm 0.1745 0.5000 0.5657 [4 per cell]
Te 0.0000 0.5000 0.5000 [2 per cell]
Te 0.1639 0.0000 0.8332 [4 per cell]
As 0.1667 0.0000 0.3331 [4 per cell]
Cl 0.0000 0.5000 0.0000 [2 per cell]


The following is a theoretical powder diffractogram of Pr3Cu2Pt4. It was derived from the GGA-PBE geometry in Alexandria, using CuKα.
Neutral-atom scattering factors, no anomalous dispersion.

Peak list (6 most intense, 2θ = 5–70°, sorted by position)
32.93°, d 2.720, intensity 19, (4 0 -1)
33.12°, d 2.705, intensity 100, (1 1 2)
40.48°, d 2.228, intensity 51, (3 1 -3)
40.74°, d 2.215, intensity 26, (0 2 0)
47.79°, d 1.903, intensity 16, (4 0 2)
64.55°, d 1.444, intensity 26, (4 2 2)

Structural model:
a b c (Å): 10.8804 4.4293 8.6038
angles (deg): 90.00 109.35 90.00
Space group C2/m (No. 12)
One atom of each set of equivalent atoms:
Pr 0.0000 0.0000 0.0000 [2 per cell]
Pr 0.1632 0.5000 0.6730 [4 per cell]
Cu 0.1165 0.5000 0.2883 [4 per cell]
Pt 0.0652 0.0000 0.3887 [4 per cell]
Pt 0.2133 0.5000 0.0625 [4 per cell]


The following is a theoretical powder diffractogram of BaHoTlCd. It was derived from the GGA-PBE geometry in Alexandria, using CuKα.
Neutral-atom scattering factors, no anomalous dispersion.

Peak list (6 most intense, 2θ = 5–70°, sorted by position)
19.11°, d 4.643, intensity 5, (1 1 1)
31.46°, d 2.843, intensity 100, (2 2 0)
37.08°, d 2.425, intensity 3, (3 1 1)
45.09°, d 2.011, intensity 19, (4 0 0)
56.02°, d 1.642, intensity 39, (4 2 2)
65.68°, d 1.422, intensity 12, (4 4 0)

Structural model:
a b c (Å): 8.0421 8.0421 8.0421
angles (deg): 90.00 90.00 90.00
Space group F-43m (No. 216)
One atom of each set of equivalent atoms:
Ba 0.0000 0.0000 0.0000 [4 per cell]
Ho 0.0000 0.0000 0.5000 [4 per cell]
Tl 0.2500 0.2500 0.7500 [4 per cell]
Cd 0.2500 0.2500 0.2500 [4 per cell]


The following is a theoretical powder diffractogram of Sn4PtRh. It was derived from the GGA-PBE geometry in Alexandria, using CuKα.
Neutral-atom scattering factors, no anomalous dispersion.

Peak list (6 most intense, 2θ = 5–70°, sorted by position)
23.84°, d 3.733, intensity 35, (1 0 1)
39.42°, d 2.286, intensity 100, (2 0 0)
46.54°, d 1.952, intensity 12, (2 1 1)
46.70°, d 1.945, intensity 6, (1 0 3)
56.88°, d 1.619, intensity 12, (2 2 0)
57.17°, d 1.611, intensity 6, (0 0 4)

Structural model:
a b c (Å): 4.5787 4.5787 6.4454
angles (deg): 90.00 90.00 90.00
Space group P4/mmm (No. 123)
One atom of each set of equivalent atoms:
Sn 0.0000 0.5000 0.2449 [4 per cell]
Pt 0.0000 0.0000 0.5000 [1 per cell]
Rh 0.5000 0.5000 0.0000 [1 per cell]


The following is a theoretical powder diffractogram of In2SiAg2S6. It was derived from the GGA-PBE geometry in Alexandria, using CuKα.
Neutral-atom scattering factors, no anomalous dispersion.

Peak list (6 most intense, 2θ = 5–70°, sorted by position)
22.77°, d 3.905, intensity 45, (1 1 2)
24.86°, d 3.582, intensity 51, (3 1 -1)
25.69°, d 3.468, intensity 65, (0 2 1)
26.02°, d 3.424, intensity 100, (3 1 -2)
29.39°, d 3.039, intensity 54, (4 0 -2)
46.20°, d 1.965, intensity 48, (3 3 -3)

Structural model:
a b c (Å): 12.3666 7.2655 12.3324
angles (deg): 90.00 109.34 90.00
Space group Cc (No. 9)
One atom of each set of equivalent atoms:
In 0.0000 0.0614 0.0000 [4 per cell]
In 0.1769 0.0972 0.8014 [4 per cell]
Si 0.4314 0.2719 0.7439 [4 per cell]
Ag 0.1601 0.4096 0.4979 [4 per cell]
Ag 0.3606 0.2044 0.1522 [4 per cell]
S 0.0518 0.2312 0.6142 [4 per cell]
S 0.1137 0.2381 0.2956 [4 per cell]
S 0.1696 0.2390 0.9846 [4 per cell]
S 0.3622 0.2467 0.5613 [4 per cell]
S 0.3621 0.4919 0.2989 [4 per cell]
S 0.3810 0.0306 0.8164 [4 per cell]


The following is a theoretical powder diffractogram of NbVH. It was derived from the GGA-PBE geometry in Alexandria, using CuKα.
Neutral-atom scattering factors, no anomalous dispersion.

Peak list (6 most intense, 2θ = 5–70°, sorted by position)
16.72°, d 5.303, intensity 5, (1 0 0)
19.27°, d 4.606, intensity 7, (0 1 1)
39.00°, d 2.309, intensity 50, (0 4 0)
39.15°, d 2.301, intensity 100, (2 2 0)
56.34°, d 1.633, intensity 16, (2 4 -2)
56.79°, d 1.621, intensity 8, (2 0 2)

Structural model:
a b c (Å): 5.6403 9.2295 5.6530
angles (deg): 90.00 109.92 90.00
Space group P2_1/c (No. 14)
One atom of each set of equivalent atoms:
Nb 0.0029 0.2482 0.2510 [4 per cell]
Nb 0.2548 0.5010 0.9960 [4 per cell]
V 0.2441 0.0014 0.0097 [4 per cell]
V 0.5000 0.2440 0.2479 [4 per cell]
H 0.2839 0.1240 0.7824 [4 per cell]
H 0.3302 0.6801 0.4492 [4 per cell]